Record 1
Diffraction record for RbTbCu3S4. The X-ray diffraction stick pattern is theoretical, not measured: it uses a structure optimized by DFT (GGA-PBE) and CuKα.

Atomic structure:
abc: 5.869 7.291 10.090
angles: 90.00 101.93 90.00
Positions (direct):
Rb 0.235 0.250 0.394
Rb 0.765 0.750 0.606
Tb 0.102 0.250 0.811
Tb 0.898 0.750 0.189
Cu 0.302 0.567 0.020
Cu 0.302 0.933 0.020
Cu 0.425 0.750 0.261
Cu 0.575 0.250 0.739
Cu 0.698 0.067 0.980
Cu 0.698 0.433 0.980
S 0.011 0.250 0.057
S 0.208 0.750 0.414
S 0.409 0.511 0.803
S 0.409 0.989 0.803
S 0.591 0.011 0.197
S 0.591 0.489 0.197
S 0.792 0.250 0.586
S 0.989 0.750 0.943

Principal peaks in the range 2θ from 5° to 70°, sorted by position:
2θ (°), I/Imax
8.96, 100
15.11, 82
21.74, 24
24.42, 23
26.09, 25
29.01, 25
33.54, 26
38.64, 30
42.54, 38
50.17, 29

=====

Record 2
Diffraction record for RbTb2Cu3Te4S. The X-ray diffraction stick pattern is theoretical, not measured: it uses a structure optimized by DFT (GGA-PBE) and CuKα.

Atomic structure:
abc: 8.014 8.014 17.702
angles: 90.00 90.00 148.94
Positions (direct):
Rb 0.075 0.925 0.750
Rb 0.925 0.075 0.250
Tb 0.195 0.805 0.102
Tb 0.195 0.805 0.398
Tb 0.805 0.195 0.602
Tb 0.805 0.195 0.898
Cu 0.329 0.671 0.750
Cu 0.416 0.584 0.019
Cu 0.416 0.584 0.481
Cu 0.584 0.416 0.519
Cu 0.584 0.416 0.981
Cu 0.671 0.329 0.250
Te 0.162 0.838 0.571
Te 0.162 0.838 0.929
Te 0.445 0.555 0.626
Te 0.445 0.555 0.874
Te 0.555 0.445 0.126
Te 0.555 0.445 0.374
Te 0.838 0.162 0.071
Te 0.838 0.162 0.429
S 0.238 0.762 0.250
S 0.762 0.238 0.750

Principal peaks in the range 2θ from 5° to 70°, sorted by position:
2θ (°), I/Imax
9.99, 53
27.05, 100
27.54, 85
27.72, 41
28.90, 49
33.91, 79
37.28, 38
37.44, 51
42.11, 61
45.19, 41

=====

Record 3
Diffraction record for RbTb2Cu3TeS4. The X-ray diffraction stick pattern is theoretical, not measured: it uses a structure optimized by DFT (GGA-PBE) and CuKα.

Atomic structure:
abc: 7.290 7.290 17.260
angles: 90.00 90.00 147.72
Positions (direct):
Rb 0.047 0.953 0.750
Rb 0.953 0.047 0.250
Tb 0.187 0.813 0.085
Tb 0.187 0.813 0.415
Tb 0.813 0.187 0.585
Tb 0.813 0.187 0.915
Cu 0.353 0.647 0.750
Cu 0.415 0.585 0.038
Cu 0.415 0.585 0.462
Cu 0.585 0.415 0.538
Cu 0.585 0.415 0.962
Cu 0.647 0.353 0.250
Te 0.252 0.748 0.250
Te 0.748 0.252 0.750
S 0.167 0.833 0.569
S 0.167 0.833 0.931
S 0.439 0.561 0.609
S 0.439 0.561 0.891
S 0.561 0.439 0.109
S 0.561 0.439 0.391
S 0.833 0.167 0.069
S 0.833 0.167 0.431

Principal peaks in the range 2θ from 5° to 70°, sorted by position:
2θ (°), I/Imax
12.64, 81
23.43, 49
27.67, 55
29.65, 80
31.00, 89
31.09, 100
35.98, 60
39.09, 53
44.72, 60
47.36, 69

=====

Record 4
Diffraction record for RbCuTcTe2S. The X-ray diffraction stick pattern is theoretical, not measured: it uses a structure optimized by DFT (GGA-PBE) and CuKα.

Atomic structure:
abc: 8.505 8.505 9.877
angles: 90.00 90.00 153.72
Positions (direct):
Rb 0.239 0.761 0.750
Rb 0.761 0.239 0.250
Cu 0.023 0.977 0.250
Cu 0.977 0.023 0.750
Tc 0.500 0.500 0.000
Tc 0.500 0.500 0.500
Te 0.116 0.884 0.041
Te 0.116 0.884 0.459
Te 0.884 0.116 0.541
Te 0.884 0.116 0.959
S 0.448 0.552 0.250
S 0.552 0.448 0.750

Principal peaks in the range 2θ from 5° to 70°, sorted by position:
2θ (°), I/Imax
10.68, 79
28.14, 100
29.62, 57
33.62, 72
36.25, 29
36.39, 37
40.23, 90
47.01, 30
53.23, 29
54.77, 29

=====

Record 5
Diffraction record for RbTm2Cu3Te4S. The X-ray diffraction stick pattern is theoretical, not measured: it uses a structure optimized by DFT (GGA-PBE) and CuKα.

Atomic structure:
abc: 8.010 8.010 17.543
angles: 90.00 90.00 149.20
Positions (direct):
Rb 0.075 0.925 0.750
Rb 0.925 0.075 0.250
Tm 0.194 0.806 0.103
Tm 0.194 0.806 0.397
Tm 0.806 0.194 0.603
Tm 0.806 0.194 0.897
Cu 0.329 0.671 0.750
Cu 0.417 0.583 0.021
Cu 0.417 0.583 0.479
Cu 0.583 0.417 0.521
Cu 0.583 0.417 0.979
Cu 0.671 0.329 0.250
Te 0.166 0.834 0.570
Te 0.166 0.834 0.930
Te 0.444 0.556 0.626
Te 0.444 0.556 0.874
Te 0.556 0.444 0.126
Te 0.556 0.444 0.374
Te 0.834 0.166 0.070
Te 0.834 0.166 0.430
S 0.238 0.762 0.250
S 0.762 0.238 0.750

Principal peaks in the range 2θ from 5° to 70°, sorted by position:
2θ (°), I/Imax
10.08, 50
27.19, 100
27.67, 77
27.93, 41
29.07, 48
34.14, 78
35.93, 39
37.76, 49
42.50, 59
45.55, 40

=====

Record 6
Diffraction record for RbTm2CuTeS3. The X-ray diffraction stick pattern is theoretical, not measured: it uses a structure optimized by DFT (GGA-PBE) and CuKα.

Atomic structure:
abc: 7.283 7.283 14.139
angles: 90.00 90.00 147.70
Positions (direct):
Rb 0.134 0.866 0.750
Rb 0.866 0.134 0.250
Tm 0.367 0.633 0.552
Tm 0.367 0.633 0.948
Tm 0.633 0.367 0.052
Tm 0.633 0.367 0.448
Cu 0.169 0.831 0.250
Cu 0.831 0.169 0.750
Te 0.443 0.557 0.750
Te 0.557 0.443 0.250
S 0.000 0.000 0.000
S 0.000 0.000 0.500
S 0.251 0.749 0.103
S 0.251 0.749 0.397
S 0.749 0.251 0.603
S 0.749 0.251 0.897

Principal peaks in the range 2θ from 5° to 70°, sorted by position:
2θ (°), I/Imax
14.13, 43
22.75, 27
22.85, 25
25.19, 26
29.89, 40
31.88, 100
34.20, 31
39.39, 25
43.59, 25
43.76, 32

=====

Record 7
Diffraction record for RbCuTeWS2. The X-ray diffraction stick pattern is theoretical, not measured: it uses a structure optimized by DFT (GGA-PBE) and CuKα.

Atomic structure:
abc: 8.483 8.483 9.928
angles: 90.00 90.00 156.11
Positions (direct):
Rb 0.221 0.779 0.750
Rb 0.779 0.221 0.250
Cu 0.468 0.532 0.250
Cu 0.532 0.468 0.750
Te 0.085 0.915 0.250
Te 0.915 0.085 0.750
W 0.000 0.000 0.000
W 0.000 0.000 0.500
S 0.401 0.599 0.055
S 0.401 0.599 0.445
S 0.599 0.401 0.555
S 0.599 0.401 0.945

Principal peaks in the range 2θ from 5° to 70°, sorted by position:
2θ (°), I/Imax
10.66, 100
20.85, 18
25.94, 14
31.49, 36
35.26, 36
36.19, 21
37.22, 18
41.62, 24
45.06, 10
49.91, 23

=====

Record 8
Diffraction record for Rb2ZrCu2S4. The X-ray diffraction stick pattern is theoretical, not measured: it uses a structure optimized by DFT (GGA-PBE) and CuKα.

Atomic structure:
abc: 7.326 7.326 5.774
angles: 90.00 90.00 133.65
Positions (direct):
Rb 0.000 0.500 0.237
Rb 0.500 0.000 0.763
Zr 0.000 0.000 0.500
Cu 0.000 0.000 0.000
Cu 0.500 0.500 0.500
S 0.152 0.346 0.749
S 0.346 0.152 0.251
S 0.654 0.848 0.251
S 0.848 0.654 0.749

Principal peaks in the range 2θ from 5° to 70°, sorted by position:
2θ (°), I/Imax
13.15, 22
16.73, 19
22.77, 22
26.47, 32
29.58, 100
33.80, 95
44.41, 48
51.58, 56
52.44, 19
54.23, 17